(1)
Starting from DFT lattice parameters and positions (GGA-PBE), the powder diffractogram of Th2ScOsC2 was calculated for Cu Ka.
No peak broadening, texture or thermal motion is included.

Structural model:
Cell lengths 5.7460, 10.8701, 3.6833 Å; angles 90.00, 90.00, 90.00 degrees
Fractional positions:
Th  0.0676  0.2127  0.0000
Th  0.4324  0.7127  0.5000
Th  0.5676  0.2873  0.5000
Th  0.9324  0.7873  0.0000
Sc  0.0000  0.5000  0.5000
Sc  0.5000  0.0000  0.0000
Os  0.0000  0.0000  0.5000
Os  0.5000  0.5000  0.0000
C  0.2012  0.6042  0.0000
C  0.2988  0.1042  0.5000
C  0.7012  0.8958  0.5000
C  0.7988  0.3958  0.0000

Peak list (10 most intense, 2θ from 10° to 90°, sorted by position)
Position (°2θ), I/Imax
17.46, 35
31.13, 22
32.23, 16
32.96, 17
33.26, 100
34.73, 23
44.56, 18
47.32, 13
49.49, 11
54.67, 13


(2)
Starting from DFT lattice parameters and positions (GGA-PBE), the powder diffractogram of Tb2YOsC2 was calculated for Cu Ka.
No peak broadening, texture or thermal motion is included.

Structural model:
Cell lengths 5.5994, 11.0567, 3.7355 Å; angles 90.00, 90.00, 90.00 degrees
Fractional positions:
Tb  0.0453  0.2063  0.0000
Tb  0.4547  0.7063  0.5000
Tb  0.5453  0.2937  0.5000
Tb  0.9547  0.7937  0.0000
Y  0.0000  0.5000  0.5000
Y  0.5000  0.0000  0.0000
Os  0.0000  0.0000  0.5000
Os  0.5000  0.5000  0.0000
C  0.2303  0.6177  0.0000
C  0.2697  0.1177  0.5000
C  0.7303  0.8823  0.5000
C  0.7697  0.3823  0.0000

Peak list (10 most intense, 2θ from 10° to 90°, sorted by position)
Position (°2θ), I/Imax
17.76, 23
31.97, 25
32.39, 14
33.07, 100
34.18, 15
44.03, 12
46.15, 11
47.49, 11
48.76, 11
57.68, 15


(3)
Starting from DFT lattice parameters and positions (GGA-PBE), the powder diffractogram of Tc2OsC was calculated for Cu Ka.
No peak broadening, texture or thermal motion is included.

Structural model:
Cell lengths 7.4043, 7.4043, 7.4043 Å; angles 21.87, 21.87, 21.87 degrees
Fractional positions:
Tc  0.2293  0.2293  0.2293
Tc  0.7707  0.7707  0.7707
Os  0.0000  0.0000  0.0000
C  0.5000  0.5000  0.5000

Peak list (10 most intense, 2θ from 10° to 90°, sorted by position)
Position (°2θ), I/Imax
12.25, 38
37.20, 38
37.34, 40
40.66, 100
42.62, 57
50.42, 35
66.59, 26
68.19, 22
78.90, 32
88.07, 14


(4)
Starting from DFT lattice parameters and positions (GGA-PBE), the powder diffractogram of TeOsC2 was calculated for Cu Ka.
No peak broadening, texture or thermal motion is included.

Structural model:
Cell lengths 5.9285, 5.9285, 5.9285 Å; angles 127.53, 127.53, 77.39 degrees
Fractional positions:
Te  0.0000  0.0000  0.0000
Te  0.7500  0.2500  0.5000
Os  0.2500  0.7500  0.5000
Os  0.5000  0.5000  0.0000
C  0.2096  0.6250  0.0846
C  0.3750  0.4596  0.5846
C  0.5404  0.1250  0.9154
C  0.8750  0.7904  0.4154

Peak list (10 most intense, 2θ from 10° to 90°, sorted by position)
Position (°2θ), I/Imax
19.46, 8
30.91, 100
34.21, 34
38.93, 12
49.16, 15
52.78, 24
59.21, 32
64.42, 12
65.56, 12
86.12, 11


(5)
Starting from DFT lattice parameters and positions (GGA-PBE), the powder diffractogram of YTh2OsC2 was calculated for Cu Ka.
No peak broadening, texture or thermal motion is included.

Structural model:
Cell lengths 5.7936, 11.2079, 3.7894 Å; angles 90.00, 90.00, 90.00 degrees
Fractional positions:
Y  0.0000  0.0000  0.0000
Y  0.5000  0.5000  0.5000
Th  0.0401  0.2930  0.5000
Th  0.4599  0.7930  0.0000
Th  0.5401  0.2070  0.0000
Th  0.9599  0.7070  0.5000
Os  0.0000  0.5000  0.0000
Os  0.5000  0.0000  0.5000
C  0.2233  0.8868  0.5000
C  0.2767  0.3868  0.0000
C  0.7233  0.6132  0.0000
C  0.7767  0.1132  0.5000

Peak list (10 most intense, 2θ from 10° to 90°, sorted by position)
Position (°2θ), I/Imax
17.23, 23
30.87, 28
31.93, 19
32.44, 100
33.69, 18
43.28, 15
45.01, 11
46.34, 14
48.02, 11
55.90, 16


(6)
Starting from DFT lattice parameters and positions (GGA-PBE), the powder diffractogram of Th2Zn2Os2C was calculated for Cu Ka.
No peak broadening, texture or thermal motion is included.

Structural model:
Cell lengths 5.8307, 5.8307, 7.2267 Å; angles 123.50, 123.50, 41.30 degrees
Fractional positions:
Th  0.0648  0.0648  0.2917
Th  0.9352  0.9352  0.7083
Zn  0.3610  0.3610  0.3294
Zn  0.6390  0.6390  0.6706
Os  0.2989  0.2989  0.9235
Os  0.7011  0.7011  0.0765
C  0.5000  0.5000  0.0000

Peak list (10 most intense, 2θ from 10° to 90°, sorted by position)
Position (°2θ), I/Imax
31.86, 26
32.98, 67
33.97, 100
37.63, 28
39.81, 24
44.04, 27
55.37, 12
56.80, 15
58.77, 11
60.85, 14


(7)
Starting from DFT lattice parameters and positions (GGA-PBE), the powder diffractogram of Th3Zn2Os2C3 was calculated for Cu Ka.
No peak broadening, texture or thermal motion is included.

Structural model:
Cell lengths 12.4405, 12.4405, 12.4405 Å; angles 162.06, 162.06, 25.48 degrees
Fractional positions:
Th  0.0000  0.0000  0.0000
Th  0.3872  0.3872  0.0000
Th  0.6128  0.6128  0.0000
Zn  0.2500  0.7500  0.5000
Zn  0.7500  0.2500  0.5000
Os  0.1793  0.1793  0.0000
Os  0.8207  0.8207  0.0000
C  0.1017  0.1017  0.0000
C  0.5000  0.5000  0.0000
C  0.8983  0.8983  0.0000

Peak list (10 most intense, 2θ from 10° to 90°, sorted by position)
Position (°2θ), I/Imax
29.47, 100
32.64, 39
35.92, 13
39.69, 13
40.75, 12
46.83, 25
47.40, 11
50.19, 18
56.30, 36
76.17, 8


(8)
Starting from DFT lattice parameters and positions (GGA-PBE), the powder diffractogram of Os3W3C2 was calculated for Cu Ka.
No peak broadening, texture or thermal motion is included.

Structural model:
Cell lengths 2.8501, 2.8501, 14.8437 Å; angles 90.00, 90.00, 120.00 degrees
Fractional positions:
Os  0.0000  0.0000  0.0000
Os  0.3333  0.6667  0.8103
Os  0.6667  0.3333  0.1897
W  0.0000  0.0000  0.5000
W  0.3333  0.6667  0.3382
W  0.6667  0.3333  0.6618
C  0.3333  0.6667  0.1000
C  0.6667  0.3333  0.9000

Peak list (10 most intense, 2θ from 10° to 90°, sorted by position)
Position (°2θ), I/Imax
36.31, 30
38.43, 100
44.06, 67
62.63, 20
65.50, 23
68.41, 5
74.61, 7
77.26, 21
78.58, 13
82.34, 11


(9)
Starting from DFT lattice parameters and positions (GGA-PBE), the powder diffractogram of PC7 was calculated for Cu Ka.
No peak broadening, texture or thermal motion is included.

Structural model:
Cell lengths 4.4843, 4.4843, 4.4843 Å; angles 60.00, 60.00, 60.00 degrees
Fractional positions:
P  0.0000  0.0000  0.0000
C  0.0000  0.0000  0.5000
C  0.0000  0.5000  0.0000
C  0.0000  0.5000  0.5000
C  0.5000  0.0000  0.0000
C  0.5000  0.0000  0.5000
C  0.5000  0.5000  0.0000
C  0.5000  0.5000  0.5000

Peak list (10 most intense, 2θ from 10° to 90°, sorted by position)
Position (°2θ), I/Imax
24.31, 34
28.14, 18
40.22, 13
47.55, 17
49.81, 100
58.19, 42
63.99, 8
65.86, 7
78.34, 6
86.89, 25


(10)
Starting from DFT lattice parameters and positions (GGA-PBE), the powder diffractogram of P3C was calculated for Cu Ka.
No peak broadening, texture or thermal motion is included.

Structural model:
Cell lengths 3.1328, 7.5160, 7.5160 Å; angles 22.96, 90.00, 90.00 degrees
Fractional positions:
P  0.0000  0.0000  0.0000
P  0.0000  0.3115  0.3115
P  0.5000  0.7564  0.7564
C  0.0000  0.4326  0.4326

Peak list (10 most intense, 2θ from 10° to 90°, sorted by position)
Position (°2θ), I/Imax
12.02, 100
24.17, 58
28.49, 15
31.02, 39
35.13, 32
42.22, 43
45.83, 38
47.02, 22
53.22, 14
61.47, 12


(11)
Starting from DFT lattice parameters and positions (GGA-PBE), the powder diffractogram of P2C was calculated for Cu Ka.
No peak broadening, texture or thermal motion is included.

Structural model:
Cell lengths 2.8408, 2.8408, 6.2209 Å; angles 90.00, 90.00, 120.00 degrees
Fractional positions:
P  0.0000  0.0000  0.0000
P  0.3333  0.6667  0.5613
C  0.0000  0.0000  0.7024

Peak list (10 most intense, 2θ from 10° to 90°, sorted by position)
Position (°2θ), I/Imax
14.24, 58
28.70, 46
36.52, 35
39.38, 100
47.10, 20
58.18, 36
65.74, 20
71.81, 15
73.26, 17
79.41, 13


(12)
Starting from DFT lattice parameters and positions (GGA-PBE), the powder diffractogram of P3C5 was calculated for Cu Ka.
No peak broadening, texture or thermal motion is included.

Structural model:
Cell lengths 8.2978, 6.6551, 6.3709 Å; angles 79.11, 51.96, 48.93 degrees
Fractional positions:
P  0.0000  0.0000  0.0000
P  0.3363  0.3363  0.6637
P  0.4477  0.4477  0.0523
P  0.4663  0.6754  0.3246
P  0.6754  0.4663  0.5337
P  0.9477  0.9477  0.5523
C  0.0508  0.7801  0.2199
C  0.2813  0.5609  0.4391
C  0.3414  0.8072  0.6586
C  0.5284  0.8714  0.1286
C  0.5609  0.2813  0.7187
C  0.6616  0.9358  0.0642
C  0.7801  0.0508  0.9492
C  0.8072  0.3414  0.1928
C  0.8714  0.5284  0.4716
C  0.9358  0.6616  0.3384

Peak list (10 most intense, 2θ from 10° to 90°, sorted by position)
Position (°2θ), I/Imax
14.71, 100
18.99, 24
28.35, 18
29.23, 37
31.61, 17
33.65, 32
38.52, 23
45.12, 15
48.61, 14
65.74, 14


(13)
Starting from DFT lattice parameters and positions (GGA-PBE), the powder diffractogram of P3C was calculated for Cu Ka.
No peak broadening, texture or thermal motion is included.

Structural model:
Cell lengths 4.4565, 4.4565, 4.8952 Å; angles 93.48, 93.48, 40.20 degrees
Fractional positions:
P  0.0000  0.0000  0.0000
P  0.2120  0.2120  0.7029
P  0.5171  0.5171  0.3009
C  0.8144  0.8144  0.8034

Peak list (10 most intense, 2θ from 10° to 90°, sorted by position)
Position (°2θ), I/Imax
18.16, 20
21.28, 27
27.18, 100
29.01, 50
36.61, 92
43.33, 25
47.04, 19
48.35, 37
57.09, 17
60.13, 27


(14)
Starting from DFT lattice parameters and positions (GGA-PBE), the powder diffractogram of P4C3 was calculated for Cu Ka.
No peak broadening, texture or thermal motion is included.

Structural model:
Cell lengths 4.2081, 4.2081, 4.2081 Å; angles 90.00, 90.00, 90.00 degrees
Fractional positions:
P  0.2251  0.2251  0.7749
P  0.2251  0.7749  0.2251
P  0.7749  0.2251  0.2251
P  0.7749  0.7749  0.7749
C  0.0000  0.5000  0.5000
C  0.5000  0.0000  0.5000
C  0.5000  0.5000  0.0000

Peak list (10 most intense, 2θ from 10° to 90°, sorted by position)
Position (°2θ), I/Imax
37.00, 100
42.99, 24
48.37, 7
53.33, 10
62.42, 37
66.68, 4
74.83, 28
78.78, 5
82.68, 4
86.55, 4